Entry 1:
The following is a calculated powder diffraction line list of Ga5Ag6. It was derived from a cell relaxed with GGA-PBE, using Cu Kα.
Kinematic intensities with the Lorentz-polarization factor, no thermal factor.

Cell and atoms:
```
data_Ga5Ag6
_symmetry_space_group_name_H-M 'C 1 2/m 1'
_symmetry_Int_Tables_number 12
_symmetry_space_group_name_Hall '-C 2y'
_cell_length_a 7.2800
_cell_length_b 10.2177
_cell_length_c 5.7528
_cell_angle_alpha 90.00
_cell_angle_beta 108.84
_cell_angle_gamma 90.00
loop_
_atom_site_label
_atom_site_type_symbol
_atom_site_fract_x
_atom_site_fract_y
_atom_site_fract_z
_atom_site_occupancy
Ga1 Ga 0.0000 0.0000 0.0000 1
Ga2 Ga 0.0000 0.1306 0.5000 1
Ga3 Ga 0.0000 0.2632 0.0000 1
Ag1 Ag 0.1681 0.5000 0.2166 1
Ag2 Ag 0.1814 0.3612 0.6902 1
```

Main lines, most intense first (2θ = 5–70°):
| 2theta | intensity | (hkl) |
| --- | --- | --- |
| 40.29 | 100 | 3 1 0 |
| 34.78 | 93 | 2 0 -2 |
| 35.72 | 76 | 1 3 1 |
| 44.07 | 54 | 2 4 -1 |
| 38.95 | 43 | 0 4 1 |
| 31.48 | 35 | 1 3 -1 |


Entry 2:
The following is a calculated powder diffraction line list of Ga5Ag13. It was derived from a cell relaxed with GGA-PBE, using Cu Kα.
Kinematic intensities with the Lorentz-polarization factor, no thermal factor.

Cell and atoms:
```
data_Ga5Ag13
_symmetry_space_group_name_H-M 'P 1'
_symmetry_Int_Tables_number 1
_symmetry_space_group_name_Hall 'P 1'
_cell_length_a 2.9153
_cell_length_b 7.8537
_cell_length_c 13.7125
_cell_angle_alpha 90.27
_cell_angle_beta 90.01
_cell_angle_gamma 90.01
loop_
_atom_site_label
_atom_site_type_symbol
_atom_site_fract_x
_atom_site_fract_y
_atom_site_fract_z
_atom_site_occupancy
Ga1 Ga 0.0000 0.0000 0.0000 1
Ga2 Ga 0.0007 0.4950 0.4998 1
Ga3 Ga 0.4981 0.4985 0.8353 1
Ga4 Ga 0.5002 0.9964 0.3344 1
Ga5 Ga 0.5027 0.9969 0.6675 1
Ag1 Ag 0.9999 0.8592 0.5032 1
Ag2 Ag 0.4975 0.4959 0.1674 1
Ag3 Ag 0.4991 0.1422 0.1524 1
Ag4 Ag 0.4990 0.1497 0.8466 1
Ag5 Ag 0.4994 0.1907 0.5019 1
Ag6 Ag 0.4992 0.6980 0.9985 1
Ag7 Ag 0.4996 0.6477 0.6535 1
Ag8 Ag 0.4997 0.6512 0.3526 1
Ag9 Ag 0.9984 0.3583 0.9972 1
Ag10 Ag 0.9989 0.3117 0.3222 1
Ag11 Ag 0.9993 0.3161 0.6815 1
Ag12 Ag 0.9986 0.8174 0.1831 1
Ag13 Ag 0.9993 0.8176 0.8187 1
```

Main lines, most intense first (2θ = 5–70°):
| 2theta | intensity | (hkl) |
| --- | --- | --- |
| 38.37 | 100 | 1 1 -3 |
| 39.43 | 51 | 0 0 6 |
| 39.59 | 50 | 0 3 -3 |
| 38.46 | 50 | 1 -2 0 |
| 39.76 | 49 | 0 3 3 |
| 40.66 | 23 | 1 2 -2 |


Entry 3:
The following is a calculated powder diffraction line list of Ga3Ag5. It was derived from a cell relaxed with GGA-PBE, using Cu Kα.
Kinematic intensities with the Lorentz-polarization factor, no thermal factor.

Cell and atoms:
```
data_Ga3Ag5
_symmetry_space_group_name_H-M 'I m m m'
_symmetry_Int_Tables_number 71
_symmetry_space_group_name_Hall '-I 2 2'
_cell_length_a 4.6510
_cell_length_b 4.9901
_cell_length_c 12.2697
_cell_angle_alpha 90.00
_cell_angle_beta 90.00
_cell_angle_gamma 90.00
loop_
_atom_site_label
_atom_site_type_symbol
_atom_site_fract_x
_atom_site_fract_y
_atom_site_fract_z
_atom_site_occupancy
Ga1 Ga 0.0000 0.0000 0.0000 1
Ga2 Ga 0.0000 0.5000 0.1291 1
Ag1 Ag 0.0000 0.0000 0.2565 1
Ag2 Ag 0.0000 0.0000 0.5000 1
Ag3 Ag 0.0000 0.5000 0.3803 1
```

Main lines, most intense first (2θ = 5–70°):
| 2theta | intensity | (hkl) |
| --- | --- | --- |
| 39.56 | 100 | 1 1 4 |
| 36.00 | 33 | 0 2 0 |
| 38.72 | 27 | 2 0 0 |
| 53.90 | 20 | 2 2 0 |
| 67.10 | 20 | 1 3 4 |
| 60.35 | 7 | 0 0 8 |


Entry 4:
The following is a calculated powder diffraction line list of Ga7Ag2. It was derived from a cell relaxed with GGA-PBE, using Cu Kα.
Kinematic intensities with the Lorentz-polarization factor, no thermal factor.

Cell and atoms:
```
data_Ga7Ag2
_symmetry_space_group_name_H-M 'P -3 1 m'
_symmetry_Int_Tables_number 162
_symmetry_space_group_name_Hall '-P 3 2'
_cell_length_a 5.6821
_cell_length_b 5.6821
_cell_length_c 6.0204
_cell_angle_alpha 90.00
_cell_angle_beta 90.00
_cell_angle_gamma 120.00
loop_
_atom_site_label
_atom_site_type_symbol
_atom_site_fract_x
_atom_site_fract_y
_atom_site_fract_z
_atom_site_occupancy
Ga1 Ga 0.0000 0.0000 0.0000 1
Ga2 Ga 0.0000 0.3363 0.6636 1
Ag1 Ag 0.3333 0.6667 0.0000 1
```

Main lines, most intense first (2θ = 5–70°):
| 2theta | intensity | (hkl) |
| --- | --- | --- |
| 34.92 | 100 | 1 1 1 |
| 43.82 | 52 | 2 -1 2 |
| 56.07 | 25 | 3 0 0 |
| 45.18 | 16 | 0 0 3 |
| 67.78 | 13 | 4 -2 1 |
| 14.71 | 2 | 0 0 1 |


Entry 5:
The following is a calculated powder diffraction line list of Ga3Ag5. It was derived from a cell relaxed with GGA-PBE, using Cu Kα.
Kinematic intensities with the Lorentz-polarization factor, no thermal factor.

Cell and atoms:
```
data_Ga3Ag5
_symmetry_space_group_name_H-M 'P m m 2'
_symmetry_Int_Tables_number 25
_symmetry_space_group_name_Hall 'P 2 -2'
_cell_length_a 2.9837
_cell_length_b 5.9411
_cell_length_c 7.9769
_cell_angle_alpha 90.00
_cell_angle_beta 90.00
_cell_angle_gamma 90.00
loop_
_atom_site_label
_atom_site_type_symbol
_atom_site_fract_x
_atom_site_fract_y
_atom_site_fract_z
_atom_site_occupancy
Ga1 Ga 0.0000 0.0000 0.0000 1
Ga2 Ga 0.5000 0.2385 0.2573 1
Ag1 Ag 0.0000 0.0000 0.5068 1
Ag2 Ag 0.0000 0.5000 0.0252 1
Ag3 Ag 0.0000 0.5000 0.4998 1
Ag4 Ag 0.5000 0.2531 0.7629 1
```

Main lines, most intense first (2θ = 5–70°):
| 2theta | intensity | (hkl) |
| --- | --- | --- |
| 37.65 | 100 | 1 0 2 |
| 37.76 | 99 | 0 2 2 |
| 42.96 | 68 | 1 2 0 |
| 64.35 | 37 | 1 2 4 |
| 45.48 | 28 | 0 0 4 |
| 62.23 | 11 | 2 0 0 |


Entry 6:
The following is a calculated powder diffraction line list of Ga5Ag3. It was derived from a cell relaxed with GGA-PBE, using Cu Kα.
Kinematic intensities with the Lorentz-polarization factor, no thermal factor.

Cell and atoms:
```
data_Ga5Ag3
_symmetry_space_group_name_H-M 'P m m 2'
_symmetry_Int_Tables_number 25
_symmetry_space_group_name_Hall 'P 2 -2'
_cell_length_a 2.8510
_cell_length_b 6.2271
_cell_length_c 8.1551
_cell_angle_alpha 90.00
_cell_angle_beta 90.00
_cell_angle_gamma 90.00
loop_
_atom_site_label
_atom_site_type_symbol
_atom_site_fract_x
_atom_site_fract_y
_atom_site_fract_z
_atom_site_occupancy
Ga1 Ga 0.0000 0.0000 0.0000 1
Ga2 Ga 0.0000 0.0000 0.4871 1
Ga3 Ga 0.0000 0.5000 0.4888 1
Ga4 Ga 0.5000 0.2494 0.7406 1
Ag1 Ag 0.0000 0.5000 0.9809 1
Ag2 Ag 0.5000 0.2551 0.2397 1
```

Main lines, most intense first (2θ = 5–70°):
| 2theta | intensity | (hkl) |
| --- | --- | --- |
| 36.30 | 100 | 0 2 2 |
| 38.53 | 84 | 1 0 2 |
| 43.02 | 61 | 1 2 0 |
| 63.56 | 36 | 1 2 4 |
| 44.44 | 29 | 0 0 4 |
| 10.85 | 14 | 0 0 1 |


Entry 7:
The following is a calculated powder diffraction line list of Ga3Ag2. It was derived from a cell relaxed with GGA-PBE, using Cu Kα.
Kinematic intensities with the Lorentz-polarization factor, no thermal factor.

Cell and atoms:
```
data_Ga3Ag2
_symmetry_space_group_name_H-M 'C 1 2/c 1'
_symmetry_Int_Tables_number 15
_symmetry_space_group_name_Hall '-C 2yc'
_cell_length_a 12.7929
_cell_length_b 4.7187
_cell_length_c 8.0265
_cell_angle_alpha 90.00
_cell_angle_beta 127.63
_cell_angle_gamma 90.00
loop_
_atom_site_label
_atom_site_type_symbol
_atom_site_fract_x
_atom_site_fract_y
_atom_site_fract_z
_atom_site_occupancy
Ga1 Ga 0.0000 0.2173 0.2500 1
Ga2 Ga 0.2243 0.4958 0.5672 1
Ag1 Ag 0.0573 0.2621 0.6371 1
```

Main lines, most intense first (2θ = 5–70°):
| 2theta | intensity | (hkl) |
| --- | --- | --- |
| 42.25 | 100 | 2 2 0 |
| 38.69 | 55 | 3 1 -3 |
| 41.77 | 44 | 2 0 2 |
| 27.98 | 31 | 1 1 1 |
| 42.45 | 30 | 1 1 -3 |
| 17.51 | 25 | 2 0 0 |


Entry 8:
The following is a calculated powder diffraction line list of GaAg8. It was derived from a cell relaxed with GGA-PBE, using Cu Kα.
Kinematic intensities with the Lorentz-polarization factor, no thermal factor.

Cell and atoms:
```
data_GaAg8
_symmetry_space_group_name_H-M 'I 4/m m m'
_symmetry_Int_Tables_number 139
_symmetry_space_group_name_Hall '-I 4 2'
_cell_length_a 8.7642
_cell_length_b 8.7642
_cell_length_c 4.1468
_cell_angle_alpha 90.00
_cell_angle_beta 90.00
_cell_angle_gamma 90.00
loop_
_atom_site_label
_atom_site_type_symbol
_atom_site_fract_x
_atom_site_fract_y
_atom_site_fract_z
_atom_site_occupancy
Ga1 Ga 0.0000 0.0000 0.0000 1
Ag1 Ag 0.0000 0.3318 0.0000 1
Ag2 Ag 0.1650 0.1650 0.5000 1
```

Main lines, most intense first (2θ = 5–70°):
| 2theta | intensity | (hkl) |
| --- | --- | --- |
| 37.66 | 100 | 3 0 1 |
| 43.83 | 32 | 3 3 0 |
| 63.58 | 20 | 3 3 2 |
| 43.66 | 16 | 0 0 2 |
| 63.71 | 10 | 6 0 0 |
| 31.41 | 1 | 2 1 1 |